This entry pairs a crystal structure of Be8VCr3 with its computed PXRD pattern. Radiation: Cu Ka. Structure: a cell relaxed with GGA-PBE.

Top 8 peaks for 2θ from 10° to 80°, low angle first:
hkl 1 0 0, 2θ 24.1, I = 73; hkl 0 0 2, 2θ 25.6, I = 40; hkl 1 0 1, 2θ 27.4, I = 51; hkl 1 0 2, 2θ 35.5, I = 30; hkl 1 1 0, 2θ 42.5, I = 89; hkl 1 0 3, 2θ 46.3, I = 100; hkl 1 1 2, 2θ 50.2, I = 66; hkl 0 2 1, 2θ 51.3, I = 23

Structure:
```
Be8VCr3
1.0
4.2588 0.0000 0.0000
-2.1294 3.6882 0.0000
0.0000 0.0000 6.9527
Be V Cr
8 1 3
Direct
0.0000 0.0000 0.0000 Be
0.0000 0.0000 0.5004 Be
0.1700 0.3400 0.2517 Be
0.1700 0.8300 0.2517 Be
0.3395 0.1698 0.7498 Be
0.6600 0.8300 0.2517 Be
0.8302 0.1698 0.7498 Be
0.8302 0.6605 0.7498 Be
0.6667 0.3333 0.0645 V
0.3333 0.6667 0.5649 Cr
0.3333 0.6667 0.9332 Cr
0.6667 0.3333 0.4388 Cr
```